Record 1
# SmBS3
Computed powder diffractogram, CuKα. Input: a cell relaxed with PBE.
Neutral-atom scattering factors, no anomalous dispersion.

Most intense lines, 2θ = 10–80°, by angle:
2theta	I (rel.)
18.90	74
20.00	68
21.41	97
25.95	94
33.54	74
34.77	38
35.89	100
37.97	47
38.87	52
40.61	70

Structural model:
```
SmBS3
1.0
7.445 0.000 0.000
0.000 6.049 0.000
0.000 0.000 8.880
Sm B S
4 4 12
direct
0.117 0.064 0.000 Sm
0.383 0.564 0.500 Sm
0.617 0.436 0.000 Sm
0.883 0.936 0.500 Sm
0.145 0.599 0.830 B
0.355 0.099 0.330 B
0.645 0.901 0.830 B
0.855 0.401 0.330 B
0.002 0.391 0.491 S
0.175 0.833 0.703 S
0.204 0.865 0.300 S
0.296 0.365 0.800 S
0.325 0.333 0.203 S
0.498 0.891 0.991 S
0.502 0.109 0.491 S
0.675 0.667 0.703 S
0.704 0.635 0.300 S
0.796 0.135 0.800 S
0.825 0.167 0.203 S
0.998 0.609 0.991 S
```



Record 2
# Sr3B2S6
Computed powder diffractogram, CuKα. Input: a cell relaxed with PBE.
Neutral-atom scattering factors, no anomalous dispersion.

Most intense lines, 2θ = 10–80°, by angle:
2theta	I (rel.)
18.63	100
29.78	66
29.91	65
35.09	33
35.30	32
35.63	64
37.77	43
42.06	29
42.80	27
47.23	21

Structural model:
```
Sr3B2S6
1.0
5.154 -3.334 0.000
5.154 3.334 0.000
-3.276 0.000 15.254
Sr B S
6 4 12
direct
0.020 0.980 0.750 Sr
0.323 0.352 0.413 Sr
0.352 0.323 0.913 Sr
0.648 0.677 0.087 Sr
0.677 0.648 0.587 Sr
0.980 0.020 0.250 Sr
0.257 0.466 0.135 B
0.466 0.257 0.635 B
0.534 0.743 0.365 B
0.743 0.534 0.865 B
0.083 0.474 0.220 S
0.127 0.723 0.071 S
0.232 0.546 0.608 S
0.277 0.873 0.429 S
0.454 0.768 0.892 S
0.474 0.083 0.720 S
0.526 0.917 0.280 S
0.546 0.232 0.108 S
0.723 0.127 0.571 S
0.768 0.454 0.392 S
0.873 0.277 0.929 S
0.917 0.526 0.780 S
```



Record 3
# Sc3SnB
Computed powder diffractogram, CuKα. Input: a cell relaxed with PBE.
Neutral-atom scattering factors, no anomalous dispersion.

Most intense lines, 2θ = 10–80°, by angle:
2theta	I (rel.)
19.05	19
27.07	30
33.31	100
38.66	56
43.44	12
47.83	13
55.82	37
66.58	38
69.96	12
76.51	8

Structural model:
```
Sc3SnB
1.0
4.659 0.000 0.000
0.000 4.659 0.000
0.000 0.000 4.659
Sc Sn B
3 1 1
direct
0.000 0.000 0.500 Sc
0.000 0.500 0.000 Sc
0.500 0.000 0.000 Sc
0.500 0.500 0.500 Sn
0.000 0.000 0.000 B
```



Record 4
# ZrScB24
Computed powder diffractogram, CuKα. Input: a cell relaxed with PBE.
Neutral-atom scattering factors, no anomalous dispersion.

Most intense lines, 2θ = 10–80°, by angle:
2theta	I (rel.)
10.31	16
20.74	42
24.00	56
34.20	18
40.33	100
42.21	31
61.21	18
75.84	12
75.95	14
77.19	18

Structural model:
```
ZrScB24
1.0
2.620 1.513 8.576
-2.620 1.513 8.576
0.000 -3.026 8.576
Zr Sc B
1 1 24
direct
0.000 0.000 0.000 Zr
0.489 0.489 0.489 Sc
0.075 0.414 0.414 B
0.076 0.076 0.415 B
0.076 0.415 0.076 B
0.084 0.407 0.745 B
0.084 0.745 0.407 B
0.245 0.584 0.906 B
0.245 0.906 0.584 B
0.407 0.084 0.745 B
0.407 0.745 0.084 B
0.414 0.075 0.414 B
0.414 0.414 0.075 B
0.415 0.076 0.076 B
0.575 0.575 0.915 B
0.575 0.915 0.575 B
0.576 0.915 0.915 B
0.584 0.245 0.906 B
0.584 0.906 0.245 B
0.745 0.084 0.407 B
0.745 0.407 0.084 B
0.906 0.245 0.584 B
0.906 0.584 0.245 B
0.915 0.575 0.575 B
0.915 0.576 0.915 B
0.915 0.915 0.576 B
```



Record 5
# ZrScB24
Computed powder diffractogram, CuKα. Input: a cell relaxed with PBE.
Neutral-atom scattering factors, no anomalous dispersion.

Most intense lines, 2θ = 10–80°, by angle:
2theta	I (rel.)
10.33	15
20.76	41
24.02	56
34.23	18
40.37	100
42.25	31
53.94	23
61.29	26
75.98	28
77.25	22

Structural model:
```
ZrScB24
1.0
2.619 1.512 8.561
-2.619 1.512 8.561
0.000 -3.024 8.561
Zr Sc B
1 1 24
direct
0.000 0.000 0.000 Zr
0.500 0.500 0.500 Sc
0.080 0.420 0.420 B
0.081 0.081 0.419 B
0.081 0.419 0.081 B
0.089 0.411 0.750 B
0.089 0.750 0.411 B
0.250 0.589 0.911 B
0.250 0.911 0.589 B
0.411 0.089 0.750 B
0.411 0.750 0.089 B
0.419 0.081 0.081 B
0.420 0.080 0.420 B
0.420 0.420 0.080 B
0.580 0.580 0.920 B
0.580 0.920 0.580 B
0.581 0.919 0.919 B
0.589 0.250 0.911 B
0.589 0.911 0.250 B
0.750 0.089 0.411 B
0.750 0.411 0.089 B
0.911 0.250 0.589 B
0.911 0.589 0.250 B
0.919 0.581 0.919 B
0.919 0.919 0.581 B
0.920 0.580 0.580 B
```



Record 6
# Sn2BSe
Computed powder diffractogram, CuKα. Input: a cell relaxed with PBE.
Neutral-atom scattering factors, no anomalous dispersion.

Most intense lines, 2θ = 10–80°, by angle:
2theta	I (rel.)
22.15	11
25.63	27
36.56	100
43.16	6
45.18	9
52.66	18
57.81	2
59.46	12
65.81	37
77.70	12

Structural model:
```
Sn2BSe
1.0
6.952 0.000 0.000
0.000 6.952 0.000
0.000 0.000 6.952
Sn B Se
8 4 4
direct
0.250 0.250 0.250 Sn
0.250 0.250 0.750 Sn
0.250 0.750 0.250 Sn
0.250 0.750 0.750 Sn
0.750 0.250 0.250 Sn
0.750 0.250 0.750 Sn
0.750 0.750 0.250 Sn
0.750 0.750 0.750 Sn
0.000 0.000 0.000 B
0.000 0.500 0.500 B
0.500 0.000 0.500 B
0.500 0.500 0.000 B
0.000 0.000 0.500 Se
0.000 0.500 0.000 Se
0.500 0.000 0.000 Se
0.500 0.500 0.500 Se
```



Record 7
# Tl3BSe3
Computed powder diffractogram, CuKα. Input: a cell relaxed with PBE.
Neutral-atom scattering factors, no anomalous dispersion.

Most intense lines, 2θ = 10–80°, by angle:
2theta	I (rel.)
21.31	58
25.31	24
28.43	43
29.71	23
29.86	100
30.75	43
31.17	35
31.98	18
36.74	25
46.21	20

Structural model:
```
Tl3BSe3
1.0
5.865 0.000 0.000
0.000 10.471 0.000
-0.905 0.000 6.860
Tl B Se
6 2 6
direct
0.178 0.250 0.003 Tl
0.281 0.549 0.665 Tl
0.281 0.951 0.665 Tl
0.719 0.049 0.335 Tl
0.719 0.451 0.335 Tl
0.822 0.750 0.997 Tl
0.387 0.750 0.261 B
0.613 0.250 0.739 B
0.246 0.586 0.171 Se
0.246 0.914 0.171 Se
0.328 0.250 0.553 Se
0.672 0.750 0.447 Se
0.754 0.086 0.829 Se
0.754 0.414 0.829 Se
```



Record 8
# TlBSe3
Computed powder diffractogram, CuKα. Input: a cell relaxed with PBE.
Neutral-atom scattering factors, no anomalous dispersion.

Most intense lines, 2θ = 10–80°, by angle:
2theta	I (rel.)
17.04	28
21.36	29
25.22	31
25.88	33
28.08	100
30.24	38
32.04	44
32.93	86
34.47	33
51.79	23

Structural model:
```
TlBSe3
1.0
3.750 -6.228 0.000
3.750 6.228 0.000
-2.777 0.000 5.587
Tl B Se
2 2 6
direct
0.170 0.830 0.500 Tl
0.830 0.170 0.000 Tl
0.450 0.495 0.906 B
0.495 0.450 0.406 B
0.249 0.351 0.546 Se
0.351 0.249 0.046 Se
0.421 0.748 0.092 Se
0.664 0.793 0.461 Se
0.748 0.421 0.592 Se
0.793 0.664 0.961 Se
```



Record 9
# ZnBSe2
Computed powder diffractogram, CuKα. Input: a cell relaxed with PBE.
Neutral-atom scattering factors, no anomalous dispersion.

Most intense lines, 2θ = 10–80°, by angle:
2theta	I (rel.)
23.73	22
27.47	9
39.23	100
46.37	11
48.56	3
56.69	16
62.31	5
64.12	3
71.11	33
76.16	4

Structural model:
```
ZnBSe2
1.0
6.495 0.000 0.000
0.000 6.495 0.000
0.000 0.000 6.495
Zn B Se
4 4 8
direct
0.000 0.000 0.000 Zn
0.000 0.500 0.500 Zn
0.500 0.000 0.500 Zn
0.500 0.500 0.000 Zn
0.250 0.250 0.250 B
0.250 0.750 0.750 B
0.750 0.250 0.750 B
0.750 0.750 0.250 B
0.000 0.000 0.500 Se
0.000 0.500 0.000 Se
0.250 0.250 0.750 Se
0.250 0.750 0.250 Se
0.500 0.000 0.000 Se
0.500 0.500 0.500 Se
0.750 0.250 0.250 Se
0.750 0.750 0.750 Se
```



Record 10
# Si3B
Computed powder diffractogram, CuKα. Input: a cell relaxed with PBE.
Neutral-atom scattering factors, no anomalous dispersion.

Most intense lines, 2θ = 10–80°, by angle:
2theta	I (rel.)
20.46	5
28.72	21
35.83	7
40.51	34
41.61	24
46.55	100
55.18	4
59.47	16
75.93	16
77.98	22

Structural model:
```
Si3B
1.0
5.013 0.000 0.000
-2.506 4.341 0.000
0.000 0.000 4.453
Si B
6 2
direct
0.169 0.338 0.250 Si
0.169 0.831 0.250 Si
0.338 0.169 0.750 Si
0.662 0.831 0.250 Si
0.831 0.169 0.750 Si
0.831 0.662 0.750 Si
0.333 0.667 0.750 B
0.667 0.333 0.250 B
```



Record 11
# SiB
Computed powder diffractogram, CuKα. Input: a cell relaxed with PBE.
Neutral-atom scattering factors, no anomalous dispersion.

Most intense lines, 2θ = 10–80°, by angle:
2theta	I (rel.)
30.50	38
32.56	48
36.08	100
45.22	18
57.90	47
58.10	31
67.05	22
68.21	5
70.33	14
73.19	4

Structural model:
```
SiB
1.0
3.175 0.000 0.000
-1.588 2.750 0.000
0.000 0.000 5.861
Si B
2 2
direct
0.333 0.667 0.000 Si
0.667 0.333 0.500 Si
0.333 0.667 0.661 B
0.667 0.333 0.161 B
```



Record 12
# Si3B
Computed powder diffractogram, CuKα. Input: a cell relaxed with PBE.
Neutral-atom scattering factors, no anomalous dispersion.

Most intense lines, 2θ = 10–80°, by angle:
2theta	I (rel.)
24.40	17
34.78	14
42.94	100
50.01	47
56.40	7
62.35	5
73.42	30
78.69	4

Structural model:
```
Si3B
1.0
3.648 0.000 0.000
0.000 3.648 0.000
0.000 0.000 3.648
Si B
3 1
direct
0.000 0.000 0.500 Si
0.000 0.500 0.000 Si
0.500 0.000 0.000 Si
0.500 0.500 0.500 B
```